[1]
# SrAc15La4
Computed PXRD pattern, Cu Ka. Input: a DFT-relaxed cell (GGA-PBE, Alexandria).

Peak list (10 most intense, 5 to 70 degrees two-theta, by angle)
- 2θ = 15.8°, d 5.607, rel. 2, (1 0 0)
- 2θ = 27.6°, d 3.230, rel. 100, (1 1 5)
- 2θ = 31.9°, d 2.804, rel. 35, (2 0 0)
- 2θ = 32.1°, d 2.786, rel. 17, (0 0 10)
- 2θ = 45.8°, d 1.982, rel. 13, (2 2 0)
- 2θ = 45.9°, d 1.976, rel. 25, (2 0 10)
- 2θ = 54.3°, d 1.690, rel. 32, (3 1 5)
- 2θ = 54.6°, d 1.682, rel. 15, (1 1 15)
- 2θ = 57.0°, d 1.615, rel. 13, (2 2 10)
- 2θ = 66.7°, d 1.402, rel. 4, (4 0 0)

Atomic structure:
a b c (Å): 5.6072 5.6072 27.8570
angles (deg): 90.00 90.00 90.00
Space group P4/mmm (No. 123)
Symmetry-distinct sites (fractional):
Sr: 0.0000 0.0000 0.0000
Ac: 0.0000 0.5000 0.1051
Ac: 0.0000 0.5000 0.3017
Ac: 0.0000 0.5000 0.5000
Ac: 0.5000 0.5000 0.0000
Ac: 0.5000 0.5000 0.2024
Ac: 0.5000 0.5000 0.4007
La: 0.0000 0.0000 0.2022
La: 0.0000 0.0000 0.4010

***

[2]
# Tb2YMg6
Computed PXRD pattern, Cu Ka. Input: a DFT-relaxed cell (GGA-PBE, Alexandria).

Peak list (10 most intense, 5 to 70 degrees two-theta, by angle)
- 2θ = 19.6°, d 4.536, rel. 88, (1 1 0)
- 2θ = 33.6°, d 2.670, rel. 100, (1 1 1)
- 2θ = 34.2°, d 2.619, rel. 64, (3 0 0)
- 2θ = 39.7°, d 2.268, rel. 15, (2 2 0)
- 2θ = 44.1°, d 2.052, rel. 13, (3 0 1)
- 2θ = 48.7°, d 1.870, rel. 35, (2 2 1)
- 2θ = 53.4°, d 1.714, rel. 12, (4 1 0)
- 2θ = 60.9°, d 1.522, rel. 36, (4 1 1)
- 2θ = 61.3°, d 1.512, rel. 12, (3 3 0)
- 2θ = 67.0°, d 1.397, rel. 18, (3 0 2)

Atomic structure:
a b c (Å): 9.0717 9.0717 3.3030
angles (deg): 90.00 90.00 120.00
Space group P6/mmm (No. 191)
Symmetry-distinct sites (fractional):
Tb: 0.3333 0.6667 0.0000
Y: 0.0000 0.0000 0.0000
Mg: 0.0000 0.3328 0.5000

***

Repeat the first record exactly.
# SrAc15La4
Computed PXRD pattern, Cu Ka. Input: a DFT-relaxed cell (GGA-PBE, Alexandria).

Peak list (10 most intense, 5 to 70 degrees two-theta, by angle)
- 2θ = 15.8°, d 5.607, rel. 2, (1 0 0)
- 2θ = 27.6°, d 3.230, rel. 100, (1 1 5)
- 2θ = 31.9°, d 2.804, rel. 35, (2 0 0)
- 2θ = 32.1°, d 2.786, rel. 17, (0 0 10)
- 2θ = 45.8°, d 1.982, rel. 13, (2 2 0)
- 2θ = 45.9°, d 1.976, rel. 25, (2 0 10)
- 2θ = 54.3°, d 1.690, rel. 32, (3 1 5)
- 2θ = 54.6°, d 1.682, rel. 15, (1 1 15)
- 2θ = 57.0°, d 1.615, rel. 13, (2 2 10)
- 2θ = 66.7°, d 1.402, rel. 4, (4 0 0)

Atomic structure:
a b c (Å): 5.6072 5.6072 27.8570
angles (deg): 90.00 90.00 90.00
Space group P4/mmm (No. 123)
Symmetry-distinct sites (fractional):
Sr: 0.0000 0.0000 0.0000
Ac: 0.0000 0.5000 0.1051
Ac: 0.0000 0.5000 0.3017
Ac: 0.0000 0.5000 0.5000
Ac: 0.5000 0.5000 0.0000
Ac: 0.5000 0.5000 0.2024
Ac: 0.5000 0.5000 0.4007
La: 0.0000 0.0000 0.2022
La: 0.0000 0.0000 0.4010